1.
# Li4Mn3O7
Simulated X-ray diffraction stick pattern, Cu Kα. Input: a structure optimized by DFT (GGA+U).
Lines closer than 0.1° are merged.

Largest 10 diffraction maxima, in order of rising 2θ, 10° ≤ 2θ ≤ 80°:
| two_theta | intensity |
| --- | --- |
| 18.27 | 100 |
| 34.10 | 18 |
| 36.15 | 12 |
| 36.39 | 12 |
| 40.90 | 35 |
| 44.26 | 55 |
| 61.42 | 8 |
| 61.53 | 8 |
| 62.11 | 8 |
| 62.26 | 8 |

a b c (Å): 2.9979 9.7768 9.9517
angles (deg): 115.74 94.31 96.10
Sites, in units of the cell vectors:
Li: 0.0000 0.0000 0.0000
Li: 0.0576 0.1388 0.7943
Li: 0.2094 0.4261 0.3574
Li: 0.3545 0.7277 0.9400
Li: 0.5000 0.0000 0.5000
Li: 0.6455 0.2723 0.0600
Li: 0.7906 0.5739 0.6426
Li: 0.9424 0.8612 0.2057
Mn: 0.1519 0.2880 0.5687
Mn: 0.2846 0.5719 0.1440
Mn: 0.4258 0.8641 0.7252
Mn: 0.5742 0.1359 0.2748
Mn: 0.7154 0.4281 0.8560
Mn: 0.8481 0.7120 0.4313
O: 0.0721 0.0860 0.3855
O: 0.0780 0.2029 0.1930
O: 0.1481 0.3669 0.9693
O: 0.2824 0.4911 0.7461
O: 0.2917 0.6559 0.5422
O: 0.4172 0.7764 0.3227
O: 0.4635 0.9417 0.1218
O: 0.5365 0.0583 0.8782
O: 0.5828 0.2236 0.6773
O: 0.7083 0.3441 0.4578
O: 0.7176 0.5089 0.2539
O: 0.8519 0.6331 0.0307
O: 0.9220 0.7971 0.8070
O: 0.9279 0.9140 0.6145


2.
# Li4Mn3O7
Simulated X-ray diffraction stick pattern, Cu Kα. Input: a structure optimized by DFT (GGA+U).
Lines closer than 0.1° are merged.

Largest 10 diffraction maxima, in order of rising 2θ, 10° ≤ 2θ ≤ 80°:
| two_theta | intensity |
| --- | --- |
| 18.27 | 100 |
| 33.86 | 17 |
| 36.10 | 23 |
| 40.86 | 32 |
| 44.04 | 55 |
| 46.88 | 9 |
| 58.06 | 9 |
| 61.29 | 16 |
| 61.97 | 15 |
| 64.65 | 7 |

a b c (Å): 5.1032 5.1032 18.6988
angles (deg): 97.40 97.40 32.82
Sites, in units of the cell vectors:
Li: 0.0000 0.0000 0.0000
Li: 0.0000 0.0000 0.5000
Li: 0.1389 0.1389 0.2921
Li: 0.2822 0.2822 0.5673
Li: 0.4277 0.4277 0.8571
Li: 0.5723 0.5723 0.1429
Li: 0.7178 0.7178 0.4327
Li: 0.8611 0.8611 0.7079
Mn: 0.1455 0.1455 0.7801
Mn: 0.2865 0.2865 0.0730
Mn: 0.4234 0.4234 0.3672
Mn: 0.5766 0.5766 0.6328
Mn: 0.7135 0.7135 0.9270
Mn: 0.8545 0.8545 0.2199
O: 0.0533 0.0533 0.3894
O: 0.0816 0.0816 0.8963
O: 0.2035 0.2035 0.6712
O: 0.2244 0.2244 0.1859
O: 0.3451 0.3451 0.9581
O: 0.3610 0.3610 0.4540
O: 0.4832 0.4832 0.2550
O: 0.5168 0.5168 0.7450
O: 0.6390 0.6390 0.5460
O: 0.6549 0.6549 0.0419
O: 0.7756 0.7756 0.8141
O: 0.7965 0.7965 0.3288
O: 0.9184 0.9184 0.1037
O: 0.9467 0.9467 0.6106


3.
# Li4Mn3O7
Simulated X-ray diffraction stick pattern, Cu Kα. Input: a structure optimized by DFT (GGA+U).
Lines closer than 0.1° are merged.

Largest 10 diffraction maxima, in order of rising 2θ, 10° ≤ 2θ ≤ 80°:
| two_theta | intensity |
| --- | --- |
| 18.20 | 100 |
| 34.02 | 18 |
| 36.11 | 11 |
| 36.35 | 11 |
| 40.75 | 35 |
| 44.18 | 54 |
| 61.32 | 17 |
| 61.98 | 16 |
| 63.75 | 7 |
| 64.75 | 7 |

a b c (Å): 3.0039 6.0648 14.5009
angles (deg): 83.42 84.53 85.59
Sites, in units of the cell vectors:
Li: 0.0000 0.0000 0.0000
Li: 0.0000 0.5000 0.0000
Li: 0.1462 0.0750 0.7152
Li: 0.2865 0.6431 0.4286
Li: 0.4377 0.2095 0.1313
Li: 0.5623 0.7905 0.8687
Li: 0.7135 0.3569 0.5714
Li: 0.8538 0.9250 0.2848
Mn: 0.1324 0.5654 0.7154
Mn: 0.2870 0.1435 0.4275
Mn: 0.4374 0.7240 0.1361
Mn: 0.5626 0.2760 0.8639
Mn: 0.7130 0.8565 0.5725
Mn: 0.8676 0.4346 0.2846
O: 0.0430 0.5052 0.8537
O: 0.0941 0.0695 0.8577
O: 0.1769 0.6121 0.5777
O: 0.2511 0.1024 0.5655
O: 0.3249 0.1875 0.2890
O: 0.3987 0.6723 0.2777
O: 0.4911 0.7449 0.0094
O: 0.5089 0.2551 0.9906
O: 0.6013 0.3277 0.7223
O: 0.6751 0.8125 0.7110
O: 0.7489 0.8976 0.4345
O: 0.8231 0.3879 0.4223
O: 0.9059 0.9305 0.1423
O: 0.9570 0.4948 0.1463


4.
# Li5MnO5
Simulated X-ray diffraction stick pattern, Cu Kα. Input: a structure optimized by DFT (GGA+U).
Lines closer than 0.1° are merged.

Largest 10 diffraction maxima, in order of rising 2θ, 10° ≤ 2θ ≤ 80°:
| two_theta | intensity |
| --- | --- |
| 16.20 | 100 |
| 19.72 | 21 |
| 21.11 | 47 |
| 24.75 | 81 |
| 29.49 | 20 |
| 42.99 | 33 |
| 43.93 | 31 |
| 46.28 | 28 |
| 65.00 | 15 |
| 65.71 | 15 |

a b c (Å): 3.9235 5.1468 5.7824
angles (deg): 107.40 90.00 112.40
Sites, in units of the cell vectors:
Li: 0.0000 0.0000 0.0000
Li: 0.0127 0.0340 0.4678
Li: 0.3809 0.7706 0.1966
Li: 0.4024 0.8049 0.6635
Li: 0.6948 0.4033 0.8317
Mn: 0.6990 0.4024 0.3321
O: 0.1994 0.4026 0.3319
O: 0.5463 0.0943 0.0184
O: 0.5558 0.1180 0.5043
O: 0.8402 0.6870 0.1593
O: 0.8544 0.7111 0.6453